[1]
Theoretical powder diffractogram of Li3Ag2F5 for Cu Kα, 1.54184 Å, from the GGA-PBE geometry in the Materials Project.
Kinematic intensities with the Lorentz-polarization factor, no thermal factor.

Crystal structure
```
data_Li3Ag2F5
_chemical_formula_sum 'Li12 Ag8 F20'
_symmetry_space_group_name_H-M 'P 1'
_symmetry_Int_Tables_number 1
_cell_length_a 5.758
_cell_length_b 8.164
_cell_length_c 11.949
_cell_angle_alpha 90.15
_cell_angle_beta 97.85
_cell_angle_gamma 98.98
loop_
_symmetry_equiv_pos_as_xyz
'x,y,z'
loop_
_atom_site_label
_atom_site_type_symbol
_atom_site_fract_x
_atom_site_fract_y
_atom_site_fract_z
Li1 Li 0.000 0.000 0.000
Li2 Li 0.002 0.387 0.941
Li3 Li 0.065 0.413 0.438
Li4 Li 0.344 0.137 0.641
Li5 Li 0.354 0.167 0.266
Li6 Li 0.429 0.852 0.835
Li7 Li 0.438 0.432 0.792
Li8 Li 0.452 0.728 0.633
Li9 Li 0.591 0.521 0.239
Li10 Li 0.796 0.649 0.988
Li11 Li 0.925 0.087 0.443
Li12 Li 0.938 0.700 0.473
Ag1 Ag 0.400 0.831 0.352
Ag2 Ag 0.401 0.811 0.093
Ag3 Ag 0.499 0.182 0.996
Ag4 Ag 0.533 0.424 0.489
Ag5 Ag 0.804 0.985 0.219
Ag6 Ag 0.878 0.077 0.748
Ag7 Ag 0.950 0.511 0.702
Ag8 Ag 0.999 0.416 0.184
F1 F 0.009 0.891 0.397
F2 F 0.054 0.192 0.579
F3 F 0.108 0.589 0.025
F4 F 0.117 0.235 0.348
F5 F 0.153 0.305 0.828
F6 F 0.181 0.992 0.156
F7 F 0.205 0.597 0.533
F8 F 0.226 0.968 0.905
F9 F 0.334 0.565 0.309
F10 F 0.348 0.640 0.768
F11 F 0.483 0.955 0.690
F12 F 0.537 0.307 0.177
F13 F 0.558 0.329 0.671
F14 F 0.595 0.091 0.379
F15 F 0.697 0.449 0.901
F16 F 0.712 0.672 0.137
F17 F 0.719 0.861 0.935
F18 F 0.742 0.701 0.586
F19 F 0.814 0.511 0.371
F20 F 0.922 0.206 0.033
```

Most intense lines, 2θ from 15° to 90°, low angle first:
2θ 20.20, rel. 92; 2θ 22.01, rel. 95; 2θ 23.14, rel. 67; 2θ 25.05, rel. 57; 2θ 34.67, rel. 64; 2θ 37.25, rel. 100


[2]
Theoretical powder diffractogram of KNa3Al4Si4O16 for Cu Kα, 1.54184 Å, from the GGA-PBE geometry in the Materials Project.
Kinematic intensities with the Lorentz-polarization factor, no thermal factor.

Crystal structure
```
data_KNa3Al4Si4O16
_chemical_formula_sum 'K2 Na6 Al8 Si8 O32'
_symmetry_space_group_name_H-M 'P 1'
_symmetry_Int_Tables_number 1
_cell_length_a 8.513
_cell_length_b 10.090
_cell_length_c 10.127
_cell_angle_alpha 61.03
_cell_angle_beta 89.63
_cell_angle_gamma 89.76
loop_
_symmetry_equiv_pos_as_xyz
'x,y,z'
loop_
_atom_site_label
_atom_site_type_symbol
_atom_site_fract_x
_atom_site_fract_y
_atom_site_fract_z
K1 K 0.000 0.000 0.000
K2 K 0.498 0.004 0.988
Na1 Na 0.483 0.985 0.428
Na2 Na 0.492 0.433 0.554
Na3 Na 0.497 0.553 0.965
Na4 Na 0.980 0.556 0.443
Na5 Na 0.994 0.436 0.994
Na6 Na 0.999 0.993 0.537
Al1 Al 0.180 0.892 0.328
Al2 Al 0.296 0.655 0.658
Al3 Al 0.300 0.230 0.088
Al4 Al 0.303 0.093 0.655
Al5 Al 0.793 0.897 0.326
Al6 Al 0.799 0.758 0.892
Al7 Al 0.800 0.337 0.326
Al8 Al 0.806 0.323 0.752
Si1 Si 0.174 0.328 0.750
Si2 Si 0.177 0.754 0.899
Si3 Si 0.178 0.335 0.327
Si4 Si 0.302 0.656 0.230
Si5 Si 0.663 0.661 0.223
Si6 Si 0.679 0.234 0.090
Si7 Si 0.680 0.094 0.648
Si8 Si 0.683 0.650 0.656
O1 O 0.173 0.740 0.281
O2 O 0.180 0.288 0.927
O3 O 0.192 0.935 0.783
O4 O 0.205 0.508 0.637
O5 O 0.215 0.331 0.172
O6 O 0.218 0.173 0.474
O7 O 0.242 0.646 0.832
O8 O 0.255 0.832 0.508
O9 O 0.289 0.470 0.331
O10 O 0.290 0.713 0.048
O11 O 0.299 0.034 0.192
O12 O 0.307 0.227 0.720
O13 O 0.481 0.698 0.259
O14 O 0.497 0.607 0.676
O15 O 0.498 0.293 0.038
O16 O 0.499 0.039 0.645
O17 O 0.668 0.706 0.045
O18 O 0.670 0.054 0.214
O19 O 0.671 0.224 0.700
O20 O 0.693 0.482 0.337
O21 O 0.712 0.817 0.510
O22 O 0.744 0.646 0.811
O23 O 0.760 0.158 0.481
O24 O 0.761 0.336 0.156
O25 O 0.776 0.519 0.635
O26 O 0.783 0.768 0.255
O27 O 0.787 0.257 0.946
O28 O 0.788 0.953 0.769
O29 O 0.986 0.951 0.322
O30 O 0.995 0.712 0.955
O31 O 0.997 0.386 0.330
O32 O 0.999 0.285 0.716
```

Most intense lines, 2θ from 15° to 90°, low angle first:
2θ 20.87, rel. 65; 2θ 22.63, rel. 39; 2θ 22.69, rel. 41; 2θ 26.55, rel. 40; 2θ 29.15, rel. 100; 2θ 37.71, rel. 48